# Np4PaS10
Calculated XRD peak list, copper Kα. Input: a crystal structure in Alexandria, relaxed with PBE.
Neutral-atom scattering factors, no anomalous dispersion.

Top 10 peaks for 2θ from 15° to 90°, by angle:
d 3.724, 23.9 deg, I 100.0
d 3.225, 27.7 deg, I 25.6
d 2.280, 39.5 deg, I 68.0
d 1.945, 46.7 deg, I 52.2
d 1.862, 48.9 deg, I 8.2
d 1.612, 57.1 deg, I 11.6
d 1.480, 62.8 deg, I 22.0
d 1.442, 64.6 deg, I 11.2
d 1.316, 71.7 deg, I 23.7
d 1.241, 76.8 deg, I 16.7

Crystal structure
```
data_Np4PaS10
_cell_length_a 7.8985
_cell_length_b 7.8985
_cell_length_c 7.8985
_cell_angle_alpha 99.60
_cell_angle_beta 99.60
_cell_angle_gamma 131.80
_symmetry_space_group_name_H-M 'P 1'
_symmetry_Int_Tables_number 1
loop_
_symmetry_equiv_pos_as_xyz
'x,y,z'
loop_
_atom_site_label
_atom_site_fract_x
_atom_site_fract_y
_atom_site_fract_z
Np1 0.0987 0.3014 0.4001
Np2 0.3014 0.9013 0.2027
Np3 0.6986 0.0987 0.7973
Np4 0.9013 0.6986 0.5999
Pa1 0.5000 0.5000 0.0000
S1 0.0535 0.1514 0.7014
S2 0.1514 0.4500 0.0979
S3 0.2500 0.7500 0.5000
S4 0.3520 0.0535 0.9021
S5 0.4500 0.3520 0.2986
S6 0.5500 0.6480 0.7014
S7 0.6480 0.9465 0.0979
S8 0.7500 0.2500 0.5000
S9 0.8486 0.5500 0.9021
S10 0.9465 0.8486 0.2986
```